Structure and simulated powder X-ray diffraction pattern of Nd3Mg3Sc2 (a structure optimized by DFT (GGA-PBE); Cu Kα (λ = 1.5418 Å)).
Neutral-atom scattering factors, no anomalous dispersion.

The 10 most intense peaks (5 to 70 degrees two-theta), by angle:
two_theta	d/Å	I/Imax
20.2	4.400	40
24.4	3.645	26
25.9	3.441	22
32.4	2.761	26
32.6	2.744	27
33.4	2.680	100
41.2	2.192	13
46.7	1.946	18
58.5	1.578	18
58.7	1.572	19

Cell and atoms:
```
data_Nd3Mg3Sc2
_chemical_formula_sum 'Nd6 Mg6 Sc4'
_symmetry_space_group_name_H-M 'I m m m'
_symmetry_Int_Tables_number 71
_symmetry_space_group_name_Hall '-I 2 2'
_cell_length_a 3.6954
_cell_length_b 5.4885
_cell_length_c 22.0848
_cell_angle_alpha 90.00
_cell_angle_beta 90.00
_cell_angle_gamma 90.00
loop_
_atom_site_label
_atom_site_type_symbol
_atom_site_fract_x
_atom_site_fract_y
_atom_site_fract_z
_atom_site_occupancy
Nd1 Nd 0.0000 0.0000 0.0000 1
Nd2 Nd 0.0000 0.5000 0.1298 1
Mg1 Mg 0.0000 0.0000 0.5000 1
Mg2 Mg 0.0000 0.5000 0.3743 1
Sc1 Sc 0.0000 0.0000 0.2383 1
```